Starting from a PBE+U-relaxed structure, the powder diffraction line list of Sr2MnTlO6 was computed for a wavelength of 1.5418 Å.

Structure:
Cell: 5.6548 5.6548 4.5487 Å, 90.00 90.00 90.00°
Fractional coordinates of all 10 atoms:
Sr  0.0000  0.5000  0.0000
Sr  0.5000  0.0000  0.0000
Mn  0.0000  0.0000  0.5402
Tl  0.5000  0.5000  0.5457
O  0.0000  0.0000  0.1571
O  0.2268  0.2268  0.6420
O  0.2268  0.7732  0.6420
O  0.5000  0.5000  0.0686
O  0.7732  0.2268  0.6420
O  0.7732  0.7732  0.6420

Top 10 peaks for 2θ = 5–70°, in order of falling intensity:
2θ (°), Rel. int.
29.75, 100
31.65, 43
55.19, 35
45.36, 26
51.57, 24
15.67, 23
25.13, 16
61.78, 15
39.63, 14
40.83, 12